Structure and simulated powder X-ray diffraction pattern of Li3NiH2 (a DFT-relaxed cell (PBE, OQMD); Cu Ka).

Peak list (8 most intense, 2θ = 15–90°, in order of rising 2θ)
(0 0 2), 20.3 deg, d = 4.370 Å, rel. 92
(0 0 3), 30.7 deg, d = 2.913 Å, rel. 33
(1 0 0), 40.6 deg, d = 2.222 Å, rel. 51
(0 0 4), 41.3 deg, d = 2.185 Å, rel. 24
(0 1 1), 42.0 deg, d = 2.153 Å, rel. 85
(0 1 2), 45.8 deg, d = 1.980 Å, rel. 100
(1 0 3), 51.7 deg, d = 1.767 Å, rel. 45
(1 0 4), 59.3 deg, d = 1.558 Å, rel. 34

Cell and atoms:
```
Li3NiH2
1.0
2.5654 0.0000 0.0000
-1.2827 2.2217 0.0000
0.0000 0.0000 8.7399
Li Ni H
3 1 2
direct
0.0000 0.0000 0.0000
0.3333 0.6667 0.7369
0.6667 0.3333 0.2631
0.0000 0.0000 0.5000
0.3333 0.6667 0.1327
0.6667 0.3333 0.8673
```